(1)
Cs2Li2TbTe4: calculated powder X-ray diffraction pattern (a wavelength of 1.5418 Å), based on a structure optimized by DFT (GGA-PBE).
Neutral-atom scattering factors, no anomalous dispersion.

Peak list (6 most intense, 2θ = 15–90°, by angle)
- 25.65 deg, rel. 14.0
- 25.87 deg, rel. 100.0
- 35.94 deg, rel. 12.2
- 36.70 deg, rel. 26.8
- 45.37 deg, rel. 18.1
- 45.55 deg, rel. 18.3

a b c (Å): 8.0378 8.0378 6.9455
angles (deg): 90.00 90.00 129.12
Fractional positions:
Cs: 0.0000 0.5000 0.2350
Cs: 0.5000 0.0000 0.7650
Li: 0.0000 0.0000 0.0000
Li: 0.5000 0.5000 0.5000
Tb: 0.0000 0.0000 0.5000
Te: 0.1513 0.3595 0.7550
Te: 0.3595 0.1513 0.2450
Te: 0.6405 0.8487 0.2450
Te: 0.8487 0.6405 0.7550

(2)
CsLu2: calculated powder X-ray diffraction pattern (a wavelength of 1.5418 Å), based on a structure optimized by DFT (GGA-PBE).
Neutral-atom scattering factors, no anomalous dispersion.

Peak list (6 most intense, 2θ = 15–90°, by angle)
- 29.03 deg, rel. 100.0
- 30.35 deg, rel. 50.6
- 46.24 deg, rel. 37.2
- 50.62 deg, rel. 34.7
- 60.17 deg, rel. 22.1
- 70.97 deg, rel. 23.6

a b c (Å): 7.2134 7.2134 7.2134
angles (deg): 60.00 60.00 60.00
Fractional positions:
Cs: 0.1250 0.1250 0.1250
Cs: 0.8750 0.8750 0.8750
Lu: 0.0000 0.5000 0.5000
Lu: 0.5000 0.0000 0.5000
Lu: 0.5000 0.5000 0.0000
Lu: 0.5000 0.5000 0.5000

(3)
CsLuNiS3: calculated powder X-ray diffraction pattern (a wavelength of 1.5418 Å), based on a structure optimized by DFT (GGA-PBE).
Neutral-atom scattering factors, no anomalous dispersion.

Peak list (6 most intense, 2θ = 15–90°, by angle)
- 20.82 deg, rel. 100.0
- 23.43 deg, rel. 62.5
- 29.29 deg, rel. 58.7
- 30.18 deg, rel. 77.2
- 41.54 deg, rel. 54.9
- 42.38 deg, rel. 49.6

a b c (Å): 10.3143 3.9036 15.1896
angles (deg): 90.00 90.00 90.00
Fractional positions:
Cs: 0.2503 0.2500 0.0134
Cs: 0.2497 0.7500 0.5134
Cs: 0.7503 0.2500 0.4866
Cs: 0.7497 0.7500 0.9866
Lu: 0.9997 0.2500 0.7503
Lu: 0.0003 0.7500 0.2497
Lu: 0.4997 0.2500 0.7497
Lu: 0.5003 0.7500 0.2503
Ni: 0.2503 0.2500 0.2895
Ni: 0.2497 0.7500 0.7895
Ni: 0.7503 0.2500 0.2105
Ni: 0.7497 0.7500 0.7105
S: 0.0604 0.2500 0.3634
S: 0.0601 0.7500 0.8639
S: 0.2496 0.2500 0.7088
S: 0.2504 0.7500 0.2088
S: 0.4399 0.2500 0.3639
S: 0.4396 0.7500 0.8634
S: 0.5604 0.2500 0.1366
S: 0.5601 0.7500 0.6361
S: 0.7496 0.2500 0.7912
S: 0.7504 0.7500 0.2912
S: 0.9399 0.2500 0.1361
S: 0.9396 0.7500 0.6366